Simulated X-ray powder pattern
Compound: NaZrCuWO6
Radiation: Cu Kα
Structure: a structure optimized by DFT (GGA+U)

Main lines, in order of rising 2θ (2θ = 15–90°):
d (Å)	I/Imax
4.654	21
4.031	51
2.850	100
2.015	35
1.803	21
1.646	39
1.425	20
1.275	17

Structure:
```
NaZrCuWO6
1.0
0.0000 4.0309 4.0309
4.0309 0.0000 4.0309
4.0309 4.0309 0.0000
Na Zr Cu W O
1 1 1 1 6
Cartesian
0.0000 0.0000 0.0000
6.0463 6.0463 6.0463
4.0309 4.0309 4.0309
2.0154 2.0154 2.0154
2.0154 2.0154 0.0758
2.0154 0.0758 2.0154
3.9551 2.0154 2.0154
0.0758 2.0154 2.0154
2.0154 3.9551 2.0154
2.0154 2.0154 3.9551
```